Starting from a crystal structure in Alexandria, relaxed with GGA-PBE, the X-ray diffraction stick pattern of CaAl3Cu3 was calculated for Cu Ka.
Kinematic intensities with the Lorentz-polarization factor, no thermal factor.

Largest 10 diffraction maxima, most intense first, 15 to 90 degrees two-theta:
(2 1 1), 39.0 deg, rel. 100
(0 2 0), 41.6 deg, rel. 93
(1 1 -2), 29.9 deg, rel. 78
(2 1 -3), 41.1 deg, rel. 52
(1 1 -3), 37.9 deg, rel. 45
(3 0 -1), 38.7 deg, rel. 43
(1 1 -4), 47.5 deg, rel. 43
(0 1 3), 39.6 deg, rel. 40
(2 0 1), 32.8 deg, rel. 35
(2 0 -1), 25.5 deg, rel. 34

Structure:
Cell: 7.0006 4.3407 8.5371 Å, 90.00 110.16 90.00°
Fractional positions:
Ca1 0.2014 0.2500 0.2777
Ca2 0.7986 0.7500 0.7223
Al1 0.1600 0.2500 0.8929
Al2 0.2354 0.7500 0.7338
Al3 0.4688 0.2500 0.7179
Al4 0.5312 0.7500 0.2821
Al5 0.7646 0.2500 0.2662
Al6 0.8400 0.7500 0.1071
Cu1 0.0343 0.2500 0.5776
Cu2 0.1856 0.7500 0.0303
Cu3 0.3909 0.7500 0.5212
Cu4 0.6091 0.2500 0.4788
Cu5 0.8144 0.2500 0.9697
Cu6 0.9657 0.7500 0.4224